(1)
Structure and simulated XRD peak list of Li4Si2NiO7 (a structure optimized by DFT (GGA+U); Cu Kα, 1.54184 Å).

The 10 most intense peaks (10 to 90 degrees two-theta), low angle first:
2θ = 13.27°, intensity 22; 2θ = 18.71°, intensity 60; 2θ = 24.79°, intensity 100; 2θ = 26.47°, intensity 11; 2θ = 33.44°, intensity 18; 2θ = 35.38°, intensity 68; 2θ = 36.05°, intensity 72; 2θ = 59.21°, intensity 22; 2θ = 59.86°, intensity 22; 2θ = 72.94°, intensity 12

Structural model:
Lattice parameters (Å, degrees): 5.316 5.316 13.543 99.00 99.00 50.20
Atoms (fractional coordinates):
Li 0.130 0.167 0.971
Li 0.148 0.148 0.467
Li 0.281 0.289 0.178
Li 0.296 0.285 0.676
Li 0.711 0.719 0.822
Li 0.715 0.704 0.324
Li 0.833 0.870 0.029
Li 0.852 0.852 0.533
Si 0.432 0.418 0.894
Si 0.452 0.399 0.395
Si 0.582 0.568 0.106
Si 0.601 0.548 0.605
Ni 0.018 0.005 0.754
Ni 0.995 0.982 0.246
O 0.137 0.604 0.805
O 0.152 0.584 0.307
O 0.315 0.685 0.000
O 0.334 0.666 0.500
O 0.396 0.863 0.195
O 0.416 0.848 0.693
O 0.494 0.094 0.920
O 0.520 0.074 0.423
O 0.664 0.232 0.135
O 0.682 0.216 0.639
O 0.768 0.336 0.865
O 0.784 0.318 0.361
O 0.906 0.506 0.080
O 0.926 0.480 0.577


(2)
Structure and simulated XRD peak list of Li2Si2Ni2O7 (a structure optimized by DFT (GGA+U); Cu Kα, 1.54184 Å).

The 10 most intense peaks (10 to 90 degrees two-theta), low angle first:
2θ = 12.92°, intensity 66; 2θ = 13.60°, intensity 100; 2θ = 17.53°, intensity 35; 2θ = 26.01°, intensity 38; 2θ = 28.05°, intensity 68; 2θ = 28.61°, intensity 45; 2θ = 34.04°, intensity 43; 2θ = 34.26°, intensity 31; 2θ = 35.48°, intensity 77; 2θ = 36.22°, intensity 32

Structural model:
Lattice parameters (Å, degrees): 5.484 13.021 9.650 90.00 123.38 90.00
Atoms (fractional coordinates):
Li 0.028 0.249 0.325
Li 0.028 0.251 0.825
Li 0.271 0.142 0.619
Li 0.271 0.358 0.119
Li 0.729 0.642 0.881
Li 0.729 0.858 0.381
Li 0.972 0.749 0.175
Li 0.972 0.751 0.675
Si 0.212 0.610 0.532
Si 0.212 0.890 0.032
Si 0.365 0.677 0.045
Si 0.365 0.823 0.545
Si 0.635 0.177 0.455
Si 0.635 0.323 0.955
Si 0.788 0.110 0.968
Si 0.788 0.390 0.468
Ni 0.169 0.509 0.809
Ni 0.169 0.991 0.309
Ni 0.451 0.086 0.105
Ni 0.451 0.414 0.605
Ni 0.549 0.586 0.395
Ni 0.549 0.914 0.895
Ni 0.831 0.009 0.691
Ni 0.831 0.491 0.191
O 0.076 0.644 0.863
O 0.076 0.856 0.363
O 0.087 0.165 0.018
O 0.087 0.335 0.518
O 0.200 0.525 0.401
O 0.200 0.975 0.901
O 0.298 0.663 0.187
O 0.298 0.837 0.687
O 0.342 0.122 0.428
O 0.342 0.378 0.928
O 0.395 0.549 0.712
O 0.395 0.951 0.212
O 0.440 0.698 0.540
O 0.440 0.802 0.040
O 0.560 0.198 0.960
O 0.560 0.302 0.460
O 0.605 0.049 0.788
O 0.605 0.451 0.288
O 0.658 0.622 0.072
O 0.658 0.878 0.572
O 0.702 0.163 0.313
O 0.702 0.337 0.813
O 0.800 0.025 0.099
O 0.800 0.475 0.599
O 0.913 0.665 0.482
O 0.913 0.835 0.982
O 0.924 0.144 0.637
O 0.924 0.356 0.137